[1]
# MnAsCl2
Computed powder diffraction line list, Cu Ka. Input: DFT lattice parameters and positions (GGA-PBE).

Peak list (12 most intense, 10 to 80 degrees two-theta, sorted by position)
- 2θ 17.40, d 5.095, rel. 24, (0 0 1)
- 2θ 18.61, d 4.767, rel. 55, (1 0 0)
- 2θ 21.89, d 4.061, rel. 28, (1 0 -1)
- 2θ 28.85, d 3.095, rel. 23, (1 0 1)
- 2θ 31.21, d 2.866, rel. 100, (0 1 1)
- 2θ 37.15, d 2.420, rel. 47, (2 0 -1)
- 2θ 39.02, d 2.308, rel. 38, (1 1 1)
- 2θ 44.13, d 2.052, rel. 57, (0 1 2)
- 2θ 46.21, d 1.964, rel. 30, (2 1 0)
- 2θ 52.19, d 1.753, rel. 28, (2 1 -2)
- 2θ 52.82, d 1.733, rel. 17, (0 2 0)
- 2θ 53.56, d 1.711, rel. 18, (2 1 1)

Structure:
a b c (Å): 4.9452 3.4661 5.2854
angles (deg): 90.00 105.42 90.00
Space group Pm (No. 6)
Asymmetric unit:
Mn1 0.0000 0.0000 0.0000 (multiplicity 1)
As1 0.2018 0.5000 0.3315 (multiplicity 1)
Cl1 0.5246 0.0000 0.0106 (multiplicity 1)
Cl2 0.9004 0.5000 0.6451 (multiplicity 1)

=====

[2]
# Sr4CeTe6
Computed powder diffraction line list, Cu Ka. Input: DFT lattice parameters and positions (GGA-PBE).

Peak list (12 most intense, 10 to 80 degrees two-theta, sorted by position)
- 2θ 13.46, d 6.578, rel. 28, (0 1 2)
- 2θ 23.42, d 3.798, rel. 27, (1 0 4)
- 2θ 27.13, d 3.287, rel. 28, (0 2 4)
- 2θ 28.76, d 3.104, rel. 66, (1 3 1)
- 2θ 30.39, d 2.941, rel. 100, (2 1 4)
- 2θ 31.89, d 2.806, rel. 84, (2 2 3)
- 2θ 36.10, d 2.488, rel. 40, (4 1 0)
- 2θ 41.16, d 2.193, rel. 29, (3 2 4)
- 2θ 44.62, d 2.031, rel. 37, (5 1 1)
- 2θ 48.97, d 1.860, rel. 17, (1 3 7)
- 2θ 52.97, d 1.729, rel. 19, (1 6 1)
- 2θ 61.40, d 1.510, rel. 27, (3 5 4)

Structure:
a b c (Å): 13.1704 13.1704 16.0870
angles (deg): 90.00 90.00 120.00
Space group R-3c (No. 167, hexagonal axes)
Asymmetric unit:
Sr1 0.0000 0.0000 0.2500 (multiplicity 6)
Sr2 0.0000 0.3850 0.2500 (multiplicity 18)
Ce1 0.0000 0.0000 0.0000 (multiplicity 6)
Te1 0.0324 0.2035 0.3891 (multiplicity 36)

=====

[3]
# Sr3NiC2N6
Computed powder diffraction line list, Cu Ka. Input: DFT lattice parameters and positions (GGA-PBE).

Peak list (12 most intense, 10 to 80 degrees two-theta, sorted by position)
- 2θ 13.61, d 6.508, rel. 16, (0 0 1)
- 2θ 23.33, d 3.813, rel. 48, (1 0 1)
- 2θ 32.97, d 2.717, rel. 99, (1 1 0)
- 2θ 33.48, d 2.677, rel. 100, (0 1 2)
- 2θ 40.78, d 2.213, rel. 38, (0 2 1)
- 2θ 47.70, d 1.907, rel. 51, (2 0 2)
- 2θ 53.40, d 1.716, rel. 15, (2 1 1)
- 2θ 54.10, d 1.695, rel. 16, (1 1 3)
- 2θ 58.88, d 1.569, rel. 17, (3 0 0)
- 2θ 59.20, d 1.561, rel. 32, (1 2 2)
- 2θ 69.15, d 1.358, rel. 16, (2 2 0)
- 2θ 79.05, d 1.211, rel. 17, (3 1 2)

Structure:
a b c (Å): 5.4337 5.4337 6.5083
angles (deg): 90.00 90.00 120.00
Space group P-3m1 (No. 164)
Asymmetric unit:
Sr1 0.0000 0.0000 0.0000 (multiplicity 1)
Sr2 0.3333 0.6667 0.6803 (multiplicity 2)
Ni1 0.0000 0.0000 0.5000 (multiplicity 1)
C1 0.3333 0.6667 0.2837 (multiplicity 2)
N1 0.1885 0.3770 0.2853 (multiplicity 6)

=====

[4]
# NdMg3As3
Computed powder diffraction line list, Cu Ka. Input: DFT lattice parameters and positions (GGA-PBE).

Peak list (12 most intense, 10 to 80 degrees two-theta, sorted by position)
- 2θ 12.57, d 7.043, rel. 15, (0 0 3)
- 2θ 14.00, d 6.324, rel. 27, (1 0 1)
- 2θ 15.79, d 5.614, rel. 22, (0 1 2)
- 2θ 26.51, d 3.362, rel. 100, (1 1 3)
- 2θ 34.62, d 2.591, rel. 74, (1 1 6)
- 2θ 40.85, d 2.209, rel. 61, (3 0 0)
- 2θ 45.32, d 2.001, rel. 30, (2 -1 9)
- 2θ 49.36, d 1.846, rel. 19, (4 -2 3)
- 2θ 54.59, d 1.681, rel. 19, (4 -2 6)
- 2θ 65.94, d 1.417, rel. 14, (4 1 3)
- 2θ 68.09, d 1.377, rel. 12, (3 0 12)
- 2θ 70.38, d 1.338, rel. 17, (4 1 6)

Structure:
a b c (Å): 7.6527 7.6527 21.1300
angles (deg): 90.00 90.00 120.00
Space group R-3 (No. 148, hexagonal axes)
Asymmetric unit:
Nd1 0.0000 0.0000 0.1667 (multiplicity 6)
Mg1 0.0073 0.3171 0.6200 (multiplicity 18)
As1 0.0046 0.3522 0.4166 (multiplicity 18)